Calculated powder X-ray diffraction pattern of CaV4CoCu2O12 for a wavelength of 1.5418 Å, from DFT lattice parameters and positions (PBE+U).
No peak broadening, texture or thermal motion is included.

Cell lengths 6.4218, 6.4218, 6.4218 Å; angles 110.08, 109.25, 109.08 degrees
Sites, in units of the cell vectors:
Ca: 0.0000 0.0000 0.0000
V: 0.0000 0.0000 0.5000
V: 0.0000 0.5000 0.0000
V: 0.5000 0.0000 0.0000
V: 0.5000 0.5000 0.5000
Co: 0.5000 0.0000 0.5000
Cu: 0.0000 0.5000 0.5000
Cu: 0.5000 0.5000 0.0000
O: 0.1159 0.8216 0.2943
O: 0.1792 0.3039 0.4831
O: 0.1792 0.6961 0.8753
O: 0.3056 0.1229 0.8173
O: 0.3056 0.4883 0.1827
O: 0.4727 0.1784 0.2943
O: 0.5273 0.8216 0.7057
O: 0.6944 0.5117 0.8173
O: 0.6944 0.8771 0.1827
O: 0.8208 0.3039 0.1247
O: 0.8208 0.6961 0.5169
O: 0.8841 0.1784 0.7057

Peak list (6 most intense, 2θ = 10–90°, low angle first)
2θ 34.07, 2.632 Å, I 524; 2θ 34.27, 2.617 Å, I 1000; 2θ 48.90, 1.863 Å, I 148; 2θ 49.01, 1.859 Å, I 158; 2θ 61.11, 1.516 Å, I 503; 2θ 61.50, 1.508 Å, I 246